Na4CO4: simulated XRD peak list (a wavelength of 1.5418 Å), based on the PBE geometry in the Materials Project.
Intensities are scaled so that the largest is 100.

Peak list (10 most intense, 10° ≤ 2θ ≤ 90°, most intense first)
2θ (°)  intensity
43.00  100
37.15  84
52.34  47
40.59  47
56.19  44
33.03  36
20.90  35
48.86  35
26.03  29
53.55  20

Crystal structure
a = 5.610 Å, b = 5.610 Å, c = 5.610 Å
α = 128.88°, β = 128.88°, γ = 75.20°
Sites, in units of the cell vectors:
1 Na 0.156 0.156 0.600
2 Na 0.444 0.844 0.000
3 Na 0.556 0.556 0.400
4 Na 0.844 0.444 0.000
5 C 0.000 0.000 0.000
6 O 0.074 0.734 0.000
7 O 0.266 0.266 0.340
8 O 0.734 0.074 0.000
9 O 0.926 0.926 0.660